This entry pairs a crystal structure of Fe4O5F3 with its computed XRD peak list. Radiation: Cu Kα X-rays. Structure: a crystal structure in Alexandria, relaxed with GGA+U.
Neutral-atom scattering factors, no anomalous dispersion.

Cell and atoms:
Unit cell a=4.668 b=7.631 c=7.690 alpha=104.91 beta=92.81 gamma=92.17
Positions (direct):
1 Fe 0.000 0.000 0.000
2 Fe 0.006 0.514 0.531
3 Fe 0.031 0.233 0.740
4 Fe 0.076 0.743 0.236
5 Fe 0.507 0.355 0.107
6 Fe 0.521 0.625 0.881
7 Fe 0.535 0.859 0.623
8 Fe 0.560 0.114 0.355
9 O 0.210 0.205 0.960
10 O 0.226 0.975 0.213
11 O 0.227 0.463 0.728
12 O 0.227 0.715 0.472
13 O 0.346 0.585 0.090
14 O 0.703 0.651 0.665
15 O 0.730 0.146 0.139
16 O 0.820 0.019 0.774
17 O 0.826 0.774 0.028
18 O 0.843 0.272 0.523
19 F 0.299 0.843 0.856
20 F 0.349 0.341 0.341
21 F 0.353 0.080 0.580
22 F 0.727 0.396 0.902
23 F 0.740 0.890 0.387
24 F 0.835 0.518 0.275

Principal peaks in the range 2θ = 10–90°, in order of rising 2θ:
| two_theta | intensity |
| --- | --- |
| 26.08 | 100 |
| 28.05 | 92 |
| 35.17 | 51 |
| 35.40 | 51 |
| 38.68 | 17 |
| 51.97 | 27 |
| 52.48 | 30 |
| 54.37 | 26 |
| 54.54 | 26 |
| 61.02 | 17 |
| 67.59 | 17 |
| 68.03 | 19 |